[1]
Starting from a crystal structure in Alexandria, relaxed with PBE, the X-ray powder pattern of Pm3Si2Pd was computed for Cu Kα (λ = 1.5418 Å).
Intensities are scaled so that the largest is 100.

Atomic structure:
```
Pm3Si2Pd
1.0
11.7617 0.0000 0.0000
0.0000 4.3296 0.0000
0.0000 0.0000 11.6329
Pm Si Pd
12 8 4
Cartesian
0.6561 1.0824 1.4534 Pm
1.4277 3.2472 6.5278 Pm
2.4705 1.0824 9.3962 Pm
3.4103 3.2472 3.5798 Pm
4.4532 1.0824 0.7114 Pm
5.2248 3.2472 7.2698 Pm
6.5370 1.0824 4.3630 Pm
7.3085 3.2472 10.9215 Pm
8.3514 1.0824 8.0531 Pm
9.2912 3.2472 2.2367 Pm
10.3341 1.0824 5.1051 Pm
11.1056 3.2472 10.1795 Pm
0.2442 3.2472 3.6383 Si
2.2432 3.2472 11.6087 Si
3.6376 1.0824 5.7922 Si
5.6366 1.0824 9.4548 Si
6.1251 3.2472 2.1781 Si
8.1241 3.2472 5.8407 Si
9.5185 1.0824 0.0242 Si
11.5175 1.0824 7.9945 Si
1.5156 1.0824 4.3032 Pd
4.3653 3.2472 10.1196 Pd
7.3964 1.0824 1.5133 Pd
10.2462 3.2472 7.3297 Pd
```

Peak list (8 most intense, 5° ≤ 2θ ≤ 70°, low angle first)
| 2θ/deg | d [Å] | I_rel |
| --- | --- | --- |
| 26.69 | 3.340 | 55.5 |
| 27.43 | 3.251 | 33.8 |
| 29.88 | 2.990 | 45.3 |
| 30.96 | 2.889 | 96.0 |
| 31.71 | 2.822 | 57.2 |
| 34.49 | 2.600 | 100.0 |
| 37.78 | 2.381 | 33.7 |
| 41.73 | 2.164 | 73.8 |

=====

[2]
Starting from a crystal structure in Alexandria, relaxed with PBE, the X-ray powder pattern of Ca4Al6SO16 was computed for Cu Kα (λ = 1.5418 Å).
Intensities are scaled so that the largest is 100.

Atomic structure:
```
Ca4Al6SO16
1.0
-4.5878 4.5878 4.5878
4.5878 -4.5878 4.5878
4.5878 4.5878 -4.5878
Ca Al S O
4 6 1 16
Cartesian
2.8613 2.8613 -2.8613 Ca
2.8613 -2.8613 2.8613 Ca
1.7265 1.7265 1.7265 Ca
-2.8613 2.8613 2.8613 Ca
4.5878 2.2939 0.0000 Al
4.5878 0.0000 2.2939 Al
2.2939 4.5878 0.0000 Al
2.2939 0.0000 4.5878 Al
0.0000 4.5878 2.2939 Al
0.0000 2.2939 4.5878 Al
0.0000 0.0000 0.0000 S
0.8622 0.8622 -0.8622 O
0.8622 -0.8622 0.8622 O
5.2386 1.3412 -1.3412 O
5.2386 -1.3412 1.3412 O
-0.8622 0.8622 0.8622 O
3.2467 3.2467 -0.6508 O
3.2467 -0.6508 3.2467 O
3.9370 1.3412 1.3412 O
1.3412 5.2386 -1.3412 O
1.3412 -1.3412 5.2386 O
1.3412 3.9370 1.3412 O
1.3412 1.3412 3.9370 O
-0.6508 3.2467 3.2467 O
-1.3412 5.2386 1.3412 O
-1.3412 1.3412 5.2386 O
3.7256 3.7256 3.7256 O
```

Peak list (8 most intense, 5° ≤ 2θ ≤ 70°, low angle first)
| 2θ/deg | d [Å] | I_rel |
| --- | --- | --- |
| 23.75 | 3.746 | 100.0 |
| 30.82 | 2.902 | 13.5 |
| 33.84 | 2.649 | 26.6 |
| 36.65 | 2.452 | 22.1 |
| 41.77 | 2.163 | 57.5 |
| 56.76 | 1.622 | 13.4 |
| 58.67 | 1.574 | 12.3 |
| 62.39 | 1.488 | 20.6 |

=====

[3]
Starting from a crystal structure in Alexandria, relaxed with PBE, the X-ray powder pattern of CsPb3 was computed for Cu Kα (λ = 1.5418 Å).
Intensities are scaled so that the largest is 100.

Atomic structure:
```
CsPb3
1.0
4.7918 0.0000 0.0000
0.0000 4.7918 0.0000
0.0000 0.0000 7.5315
Cs Pb
1 3
Cartesian
0.0000 0.0000 0.0000 Cs
0.0000 2.3959 4.0570 Pb
2.3959 0.0000 4.0570 Pb
2.3959 2.3959 1.9244 Pb
```

Peak list (8 most intense, 5° ≤ 2θ ≤ 70°, low angle first)
| 2θ/deg | d [Å] | I_rel |
| --- | --- | --- |
| 11.75 | 7.531 | 44.7 |
| 21.99 | 4.043 | 32.6 |
| 28.89 | 3.090 | 100.0 |
| 30.18 | 2.961 | 27.7 |
| 35.64 | 2.519 | 37.5 |
| 37.54 | 2.396 | 38.6 |
| 62.52 | 1.486 | 23.3 |
| 66.54 | 1.405 | 19.7 |

=====

[4]
Starting from a crystal structure in Alexandria, relaxed with PBE, the X-ray powder pattern of Li2SmSeN was computed for Cu Kα (λ = 1.5418 Å).
Intensities are scaled so that the largest is 100.

Atomic structure:
```
Li2SmSeN
1.0
-2.9744 2.9744 4.7403
2.9744 -2.9744 4.7403
2.9744 2.9744 -4.7403
Li Sm Se N
4 2 2 2
Cartesian
4.1187 1.1443 0.0000 Li
1.1443 1.8301 0.0000 Li
1.8301 1.1443 4.7403 Li
-1.1443 1.8301 4.7403 Li
0.0000 0.0000 2.3702 Sm
0.0000 0.0000 7.1105 Sm
2.9744 0.0000 2.3702 Se
0.0000 2.9744 2.3702 Se
0.0000 0.0000 0.0000 N
0.0000 0.0000 4.7403 N
```

Peak list (8 most intense, 5° ≤ 2θ ≤ 70°, low angle first)
| 2θ/deg | d [Å] | I_rel |
| --- | --- | --- |
| 18.72 | 4.740 | 100.0 |
| 30.04 | 2.974 | 84.5 |
| 35.63 | 2.519 | 96.0 |
| 37.96 | 2.370 | 25.8 |
| 43.01 | 2.103 | 34.7 |
| 47.28 | 1.922 | 38.6 |
| 49.15 | 1.854 | 41.8 |
| 58.69 | 1.573 | 27.2 |

=====

[5]
Starting from a crystal structure in Alexandria, relaxed with PBE, the X-ray powder pattern of K4Mg5 was computed for Cu Kα (λ = 1.5418 Å).
Intensities are scaled so that the largest is 100.

Atomic structure:
```
K4Mg5
1.0
10.6149 0.0000 0.0000
-5.3074 9.1927 0.0000
0.0000 0.0000 7.1948
K Mg
8 10
Cartesian
0.0000 0.0000 0.0000 K
0.0000 0.0000 3.5974 K
-1.7408 3.0152 1.7987 K
-3.5666 6.1775 5.3961 K
3.4816 0.0000 1.7987 K
1.7408 3.0152 5.3961 K
7.1332 0.0000 5.3961 K
3.5666 6.1775 1.7987 K
-1.9140 3.3152 5.3961 Mg
-3.3934 5.8775 1.7987 Mg
0.0000 6.1285 0.0000 Mg
0.0000 6.1285 3.5974 Mg
3.8281 0.0000 5.3961 Mg
1.9140 3.3152 1.7987 Mg
6.7868 0.0000 1.7987 Mg
3.3934 5.8775 5.3961 Mg
5.3074 3.0642 0.0000 Mg
5.3074 3.0642 3.5974 Mg
```

Peak list (8 most intense, 5° ≤ 2θ ≤ 70°, low angle first)
| 2θ/deg | d [Å] | I_rel |
| --- | --- | --- |
| 20.80 | 4.271 | 10.6 |
| 29.14 | 3.064 | 100.0 |
| 30.01 | 2.978 | 82.9 |
| 38.60 | 2.333 | 10.9 |
| 42.32 | 2.136 | 28.7 |
| 51.67 | 1.769 | 16.0 |
| 52.21 | 1.752 | 28.9 |
| 59.60 | 1.551 | 22.1 |

=====

[6]
Starting from a crystal structure in Alexandria, relaxed with PBE, the X-ray powder pattern of AgHg2Cl4 was computed for Cu Kα (λ = 1.5418 Å).
Intensities are scaled so that the largest is 100.

Atomic structure:
```
AgHg2Cl4
1.0
6.4597 0.0000 0.0000
0.0000 6.4597 0.0000
0.0000 0.0000 5.5617
Ag Hg Cl
1 2 4
Cartesian
0.0000 0.0000 0.0000 Ag
0.0000 3.2298 2.7808 Hg
3.2298 0.0000 2.7808 Hg
1.5738 1.5738 1.3818 Cl
1.5738 4.8858 4.1798 Cl
4.8858 1.5738 4.1798 Cl
4.8858 4.8858 1.3818 Cl
```

Peak list (8 most intense, 5° ≤ 2θ ≤ 70°, low angle first)
| 2θ/deg | d [Å] | I_rel |
| --- | --- | --- |
| 15.94 | 5.562 | 19.9 |
| 19.43 | 4.568 | 25.9 |
| 25.23 | 3.530 | 100.0 |
| 27.62 | 3.230 | 18.5 |
| 32.05 | 2.793 | 16.0 |
| 39.46 | 2.284 | 23.2 |
| 42.92 | 2.107 | 36.4 |
| 47.41 | 1.917 | 36.4 |